Eu2Pt2O7: theoretical powder diffractogram (Cu Kα (weighted mean of Kα1 and Kα2)), based on a structure optimized by DFT (PBE).
Intensities are scaled so that the largest is 1000.

Atomic structure:
Lattice parameters (Å, degrees): 7.390 7.390 7.390 60.00 60.00 60.00
Atoms (fractional coordinates):
Eu (0.000, 0.000, 0.000)
Eu (0.000, 0.000, 0.500)
Eu (0.000, 0.500, 0.000)
Eu (0.500, 0.000, 0.000)
Pt (0.000, 0.500, 0.500)
Pt (0.500, 0.000, 0.500)
Pt (0.500, 0.500, 0.000)
Pt (0.500, 0.500, 0.500)
O (0.125, 0.125, 0.125)
O (0.166, 0.166, 0.584)
O (0.166, 0.584, 0.166)
O (0.166, 0.584, 0.584)
O (0.416, 0.416, 0.834)
O (0.416, 0.834, 0.416)
O (0.416, 0.834, 0.834)
O (0.584, 0.166, 0.166)
O (0.584, 0.166, 0.584)
O (0.584, 0.584, 0.166)
O (0.834, 0.416, 0.416)
O (0.834, 0.416, 0.834)
O (0.834, 0.834, 0.416)
O (0.875, 0.875, 0.875)

Top 8 peaks for 15 to 90 degrees two-theta, in order of rising 2θ:
29.61°, I = 1000
34.32°, I = 371
49.32°, I = 452
58.59°, I = 443
61.47°, I = 109
72.33°, I = 68
80.04°, I = 183
82.56°, I = 154